Structure and simulated X-ray diffraction stick pattern of K2TcCl5F (a GGA-PBE-relaxed structure; CuKα).

Peak list (10 most intense, 5 to 70 degrees two-theta, low angle first)
5.715 Å, intensity 100; 4.841 Å, intensity 15; 3.480 Å, intensity 35; 3.010 Å, intensity 27; 2.858 Å, intensity 38; 2.503 Å, intensity 58; 2.420 Å, intensity 25; 1.770 Å, intensity 18; 1.740 Å, intensity 32; 1.429 Å, intensity 15

Crystal structure
```
data_K2TcCl5F
_chemical_formula_sum 'K2 Tc1 Cl5 F1'
_cell_length_a 6.964
_cell_length_b 6.964
_cell_length_c 6.964
_cell_angle_alpha 118.89
_cell_angle_beta 118.89
_cell_angle_gamma 91.93
_symmetry_space_group_name_H-M 'P 1'
_symmetry_Int_Tables_number 1
_symmetry_space_group_name_Hall 'P 1'
loop_
_atom_site_label
_atom_site_type_symbol
_atom_site_fract_x
_atom_site_fract_y
_atom_site_fract_z
_atom_site_occupancy
K1 K 0.000 0.500 0.500 1
K2 K 0.500 0.000 0.500 1
Tc1 Tc 0.250 0.250 0.000 1
Cl1 Cl 0.011 0.011 0.525 1
Cl2 Cl 0.011 0.486 0.000 1
Cl3 Cl 0.486 0.011 0.000 1
Cl4 Cl 0.486 0.486 0.475 1
Cl5 Cl 0.494 0.494 0.000 1
F1 F 0.047 0.047 0.000 1
```